Record 1
# TcAgSb2
Computed powder diffractogram, Cu Kα (λ = 1.5418 Å). Input: a cell relaxed with GGA-PBE.
No peak broadening, texture or thermal motion is included.

```
4
Lattice="-1.593 2.055 6.678 1.593 -2.055 6.678 1.593 2.055 -6.678" Properties=species:S:1:pos:R:3 pbc="T T T"
Tc 0.000 0.000 0.000
Ag 1.593 0.000 2.860
Sb 0.000 0.000 7.459
Sb 0.000 2.055 4.495
```

Largest 10 diffraction maxima, in order of rising 2θ, 15 to 90 degrees two-theta:
| 2theta | I (rel.) |
| --- | --- |
| 26.70 | 14 |
| 29.58 | 44 |
| 34.61 | 26 |
| 38.19 | 100 |
| 40.26 | 25 |
| 44.06 | 24 |
| 44.24 | 18 |
| 57.21 | 12 |
| 64.22 | 11 |
| 77.11 | 12 |

---

Record 2
# AgSb2Te4
Computed powder diffractogram, Cu Kα (λ = 1.5418 Å). Input: a cell relaxed with GGA-PBE.
No peak broadening, texture or thermal motion is included.

```
7
Lattice="2.146 1.239 13.438 -2.146 1.239 13.438 0.000 -2.478 13.438" Properties=species:S:1:pos:R:3 pbc="T T T"
Ag 0.000 0.000 0.000
Sb 0.000 0.000 17.000
Sb 0.000 0.000 23.314
Te 0.000 0.000 5.308
Te 0.000 0.000 11.809
Te 0.000 0.000 28.505
Te 0.000 0.000 35.006
```

Largest 10 diffraction maxima, in order of rising 2θ, 15 to 90 degrees two-theta:
| 2theta | I (rel.) |
| --- | --- |
| 28.58 | 100 |
| 32.77 | 9 |
| 39.59 | 27 |
| 42.10 | 39 |
| 45.36 | 11 |
| 51.67 | 19 |
| 59.16 | 8 |
| 68.77 | 16 |
| 71.29 | 10 |
| 75.25 | 8 |